No. 1
Diffraction record for CeHo3Sb4. The X-ray powder pattern is calculated, not measured: it uses a PBE-relaxed structure and Cu Kα (λ = 1.5418 Å).

Structural model:
a b c (Å): 8.8044 12.4348 4.4007
angles (deg): 90.00 90.00 90.00
Positions (direct):
Ce (0.0000, 0.0000, 0.0000)
Ce (0.5000, 0.5000, 0.0000)
Ho (0.0000, 0.5000, 0.0000)
Ho (0.2500, 0.2500, 0.5000)
Ho (0.2500, 0.7500, 0.5000)
Ho (0.5000, 0.0000, 0.0000)
Ho (0.7500, 0.2500, 0.5000)
Ho (0.7500, 0.7500, 0.5000)
Sb (0.0000, 0.2520, 0.0000)
Sb (0.0000, 0.7480, 0.0000)
Sb (0.2452, 0.5000, 0.5000)
Sb (0.2548, 0.0000, 0.5000)
Sb (0.5000, 0.2480, 0.0000)
Sb (0.5000, 0.7520, 0.0000)
Sb (0.7452, 0.0000, 0.5000)
Sb (0.7548, 0.5000, 0.5000)

Top 9 peaks for 2θ from 10° to 80°, sorted by position:
24.78°, I 3; 28.69°, I 100; 41.03°, I 76; 48.53°, I 2; 50.83°, I 27; 59.42°, I 13; 65.38°, I 1; 67.30°, I 35; 74.74°, I 26



No. 2
Diffraction record for Ce2ZnGaPd6. The X-ray powder pattern is calculated, not measured: it uses a PBE-relaxed structure and Cu Kα (λ = 1.5418 Å).

Structural model:
a b c (Å): 5.6518 5.6518 8.3164
angles (deg): 109.93 109.93 60.01
Positions (direct):
Ce (0.2145, 0.2145, 0.1400)
Ce (0.7855, 0.7855, 0.8600)
Zn (0.5000, 0.5000, 0.0000)
Ga (0.0000, 0.0000, 0.5000)
Pd (0.2466, 0.7472, 0.7464)
Pd (0.2479, 0.2479, 0.7493)
Pd (0.2528, 0.7534, 0.2536)
Pd (0.7472, 0.2466, 0.7464)
Pd (0.7521, 0.7521, 0.2507)
Pd (0.7534, 0.2528, 0.2536)

Top 12 peaks for 2θ from 10° to 80°, sorted by position:
11.57°, I 20; 23.27°, I 47; 26.63°, I 22; 32.89°, I 15; 37.58°, I 73; 39.66°, I 21; 40.06°, I 100; 43.58°, I 25; 48.93°, I 31; 59.50°, I 15; 64.74°, I 15; 66.13°, I 27



No. 3
Diffraction record for TbMg4Tl2. The X-ray powder pattern is calculated, not measured: it uses a PBE-relaxed structure and Cu Kα (λ = 1.5418 Å).

Structural model:
a b c (Å): 8.7126 8.7126 4.5750
angles (deg): 90.00 90.00 90.00
Positions (direct):
Tb (0.0000, 0.0000, 0.0000)
Tb (0.5000, 0.5000, 0.5000)
Mg (0.1006, 0.3471, 0.5000)
Mg (0.1529, 0.6006, 0.0000)
Mg (0.3471, 0.1006, 0.5000)
Mg (0.3994, 0.8471, 0.0000)
Mg (0.6006, 0.1529, 0.0000)
Mg (0.6529, 0.8994, 0.5000)
Mg (0.8471, 0.3994, 0.0000)
Mg (0.8994, 0.6529, 0.5000)
Tl (0.1933, 0.8067, 0.5000)
Tl (0.3067, 0.3067, 0.0000)
Tl (0.6933, 0.6933, 0.0000)
Tl (0.8067, 0.1933, 0.5000)

Top 12 peaks for 2θ from 10° to 80°, sorted by position:
14.38°, I 42; 22.82°, I 65; 24.23°, I 93; 28.99°, I 47; 30.13°, I 100; 35.12°, I 28; 36.65°, I 82; 38.13°, I 34; 39.39°, I 32; 42.79°, I 41; 59.56°, I 31; 60.72°, I 33



No. 4
Diffraction record for InNi9Ge3. The X-ray powder pattern is calculated, not measured: it uses a PBE-relaxed structure and Cu Kα (λ = 1.5418 Å).

Structural model:
a b c (Å): 4.9594 5.3547 6.8375
angles (deg): 92.35 90.66 93.04
Positions (direct):
In (0.0000, 0.0000, 0.0000)
Ni (0.0000, 0.5000, 0.5000)
Ni (0.2518, 0.2574, 0.7394)
Ni (0.2570, 0.7304, 0.2538)
Ni (0.2710, 0.7483, 0.7512)
Ni (0.5000, 0.0000, 0.5000)
Ni (0.5000, 0.5000, 0.0000)
Ni (0.7290, 0.2517, 0.2488)
Ni (0.7430, 0.2696, 0.7462)
Ni (0.7482, 0.7426, 0.2606)
Ge (0.0000, 0.0000, 0.5000)
Ge (0.0000, 0.5000, 0.0000)
Ge (0.5000, 0.5000, 0.5000)

Top 12 peaks for 2θ from 10° to 80°, sorted by position:
20.68°, I 18; 22.32°, I 42; 25.17°, I 31; 42.07°, I 100; 43.89°, I 92; 44.92°, I 83; 45.54°, I 80; 48.80°, I 63; 51.66°, I 54; 53.68°, I 52; 70.50°, I 21; 74.62°, I 17



No. 5
Diffraction record for La4CdBr5. The X-ray powder pattern is calculated, not measured: it uses a PBE-relaxed structure and Cu Kα (λ = 1.5418 Å).

Structural model:
a b c (Å): 9.7231 9.7231 9.3246
angles (deg): 101.87 101.87 24.87
Positions (direct):
La (0.0051, 0.0051, 0.2475)
La (0.3320, 0.3320, 0.9284)
La (0.6680, 0.6680, 0.0716)
La (0.9949, 0.9949, 0.7525)
Cd (0.5000, 0.5000, 0.0000)
Br (0.1649, 0.1649, 0.8222)
Br (0.1702, 0.1702, 0.3149)
Br (0.5000, 0.5000, 0.5000)
Br (0.8298, 0.8298, 0.6851)
Br (0.8351, 0.8351, 0.1778)

Top 12 peaks for 2θ from 10° to 80°, sorted by position:
14.99°, I 9; 28.66°, I 100; 28.86°, I 49; 38.65°, I 22; 40.61°, I 37; 41.63°, I 34; 43.21°, I 16; 48.04°, I 11; 49.83°, I 9; 52.80°, I 18; 59.35°, I 12; 70.41°, I 9



No. 6
Diffraction record for SiAg2W. The X-ray powder pattern is calculated, not measured: it uses a PBE-relaxed structure and Cu Kα (λ = 1.5418 Å).

Structural model:
a b c (Å): 2.8604 2.8604 27.6735
angles (deg): 90.00 90.00 120.00
Positions (direct):
Si (0.0000, 0.0000, 0.0000)
Si (0.3333, 0.6667, 0.6667)
Si (0.6667, 0.3333, 0.3333)
Ag (0.0000, 0.0000, 0.5037)
Ag (0.0000, 0.0000, 0.7476)
Ag (0.3333, 0.6667, 0.1703)
Ag (0.3333, 0.6667, 0.4142)
Ag (0.6667, 0.3333, 0.0809)
Ag (0.6667, 0.3333, 0.8370)
W (0.0000, 0.0000, 0.2586)
W (0.3333, 0.6667, 0.9252)
W (0.6667, 0.3333, 0.5919)

Top 12 peaks for 2θ from 10° to 80°, sorted by position:
19.24°, I 22; 29.04°, I 13; 36.86°, I 14; 38.61°, I 100; 39.06°, I 29; 39.87°, I 11; 45.01°, I 62; 65.24°, I 21; 65.86°, I 16; 78.44°, I 12; 78.73°, I 22; 79.30°, I 10



No. 7
Diffraction record for Cs3Mo2N5. The X-ray powder pattern is calculated, not measured: it uses a PBE-relaxed structure and Cu Kα (λ = 1.5418 Å).

Structural model:
a b c (Å): 10.9776 10.9776 10.9776
angles (deg): 102.00 102.00 125.74
Positions (direct):
Cs (0.0000, 0.0000, 0.0000)
Cs (0.1145, 0.4377, 0.1510)
Cs (0.1877, 0.5367, 0.8231)
Cs (0.2369, 0.7369, 0.5000)
Cs (0.2867, 0.9635, 0.8490)
Cs (0.4489, 0.2322, 0.6267)
Cs (0.4869, 0.4869, 0.0000)
Cs (0.5722, 0.6989, 0.7167)
Cs (0.6055, 0.8222, 0.3733)
Cs (0.7135, 0.3645, 0.1769)
Cs (0.7500, 0.2500, 0.5000)
Cs (0.9822, 0.8555, 0.2833)
Mo (0.0100, 0.0804, 0.6845)
Mo (0.0755, 0.2600, 0.4295)
Mo (0.3355, 0.9546, 0.1754)
Mo (0.3959, 0.3255, 0.3155)
Mo (0.7046, 0.0292, 0.1191)
Mo (0.7792, 0.1601, 0.8246)
Mo (0.8304, 0.6459, 0.5705)
Mo (0.9101, 0.5855, 0.8809)
N (0.1244, 0.7661, 0.0287)
N (0.1982, 0.4650, 0.5485)
N (0.2098, 0.2338, 0.3621)
N (0.2150, 0.1665, 0.7669)
N (0.3430, 0.9334, 0.3307)
N (0.3658, 0.1493, 0.1854)
N (0.3997, 0.4482, 0.2331)
N (0.5161, 0.9874, 0.1418)
N (0.5977, 0.4598, 0.4761)
N (0.6026, 0.0123, 0.6693)
N (0.6834, 0.8526, 0.0903)
N (0.7374, 0.0956, 0.9713)
N (0.7623, 0.5930, 0.9097)
N (0.8456, 0.3744, 0.8582)
N (0.8717, 0.8477, 0.6379)
N (0.8993, 0.2140, 0.2835)
N (0.9165, 0.6497, 0.4515)
N (0.9304, 0.6158, 0.7165)
N (0.9640, 0.1804, 0.8146)
N (0.9838, 0.1217, 0.5239)

Top 12 peaks for 2θ from 10° to 80°, sorted by position:
24.88°, I 7; 27.09°, I 100; 27.49°, I 8; 28.08°, I 11; 28.90°, I 47; 30.44°, I 10; 38.04°, I 6; 41.33°, I 13; 44.54°, I 6; 46.70°, I 9; 50.12°, I 23; 53.28°, I 6



No. 8
Diffraction record for ZrTaAu. The X-ray powder pattern is calculated, not measured: it uses a PBE-relaxed structure and Cu Kα (λ = 1.5418 Å).

Structural model:
a b c (Å): 3.4973 3.4973 9.5603
angles (deg): 90.00 90.00 90.00
Positions (direct):
Zr (0.2500, 0.2500, 0.2410)
Zr (0.7500, 0.7500, 0.7590)
Ta (0.2500, 0.2500, 0.5746)
Ta (0.7500, 0.7500, 0.4254)
Au (0.2500, 0.2500, 0.9151)
Au (0.7500, 0.7500, 0.0849)

Top 12 peaks for 2θ from 10° to 80°, sorted by position:
18.56°, I 8; 27.15°, I 8; 36.33°, I 58; 38.21°, I 100; 41.10°, I 5; 52.32°, I 21; 54.71°, I 3; 57.87°, I 7; 59.93°, I 2; 66.61°, I 39; 70.28°, I 16; 77.14°, I 7



Please write out number 5 again, unchanged.
Diffraction record for La4CdBr5. The X-ray powder pattern is calculated, not measured: it uses a PBE-relaxed structure and Cu Kα (λ = 1.5418 Å).

Structural model:
a b c (Å): 9.7231 9.7231 9.3246
angles (deg): 101.87 101.87 24.87
Positions (direct):
La (0.0051, 0.0051, 0.2475)
La (0.3320, 0.3320, 0.9284)
La (0.6680, 0.6680, 0.0716)
La (0.9949, 0.9949, 0.7525)
Cd (0.5000, 0.5000, 0.0000)
Br (0.1649, 0.1649, 0.8222)
Br (0.1702, 0.1702, 0.3149)
Br (0.5000, 0.5000, 0.5000)
Br (0.8298, 0.8298, 0.6851)
Br (0.8351, 0.8351, 0.1778)

Top 12 peaks for 2θ from 10° to 80°, sorted by position:
14.99°, I 9; 28.66°, I 100; 28.86°, I 49; 38.65°, I 22; 40.61°, I 37; 41.63°, I 34; 43.21°, I 16; 48.04°, I 11; 49.83°, I 9; 52.80°, I 18; 59.35°, I 12; 70.41°, I 9